Diffraction record for HW2O6. The powder XRD pattern is theoretical, not measured: it uses DFT lattice parameters and positions (GGA+U) and copper Kα.
Neutral-atom scattering factors, no anomalous dispersion.

The 6 most intense peaks (2θ from 10° to 90°), in order of rising 2θ:
- 22.9 deg, I 1000
- 23.0 deg, I 495
- 32.7 deg, I 850
- 40.3 deg, I 211
- 52.8 deg, I 413
- 58.3 deg, I 231

Atomic structure:
Unit cell a=5.482 b=7.725 c=5.489 alpha=90.00 beta=90.00 gamma=90.00
Space group Imm2 (No. 44)
Symmetry-distinct sites (fractional):
1 H 0.000 0.000 0.000 (multiplicity 2)
2 W 0.000 0.248 0.508 (multiplicity 4)
3 O 0.000 0.000 0.484 (multiplicity 2)
4 O 0.000 0.500 0.491 (multiplicity 2)
5 O 0.247 0.248 0.742 (multiplicity 8)



Diffraction record for H2WO4. The powder XRD pattern is theoretical, not measured: it uses DFT lattice parameters and positions (GGA+U) and copper Kα.
Neutral-atom scattering factors, no anomalous dispersion.

The 6 most intense peaks (2θ from 10° to 90°), in order of rising 2θ:
- 16.1 deg, I 597
- 24.9 deg, I 1000
- 34.1 deg, I 293
- 47.9 deg, I 139
- 48.1 deg, I 120
- 51.1 deg, I 136

Atomic structure:
Unit cell a=10.977 b=5.456 c=5.246 alpha=90.00 beta=90.00 gamma=90.00
Space group Pnma (No. 62)
Symmetry-distinct sites (fractional):
1 H 0.009 0.250 0.080 (multiplicity 4)
2 H 0.024 0.250 0.772 (multiplicity 4)
3 W 0.225 0.750 0.513 (multiplicity 4)
4 O 0.067 0.250 0.937 (multiplicity 4)
5 O 0.067 0.750 0.580 (multiplicity 4)
6 O 0.225 0.000 0.253 (multiplicity 8)



Diffraction record for H2W2O7. The powder XRD pattern is theoretical, not measured: it uses DFT lattice parameters and positions (GGA+U) and copper Kα.
Neutral-atom scattering factors, no anomalous dispersion.

The 6 most intense peaks (2θ from 10° to 90°), in order of rising 2θ:
- 13.4 deg, I 972
- 14.3 deg, I 885
- 15.4 deg, I 1000
- 15.6 deg, I 675
- 27.0 deg, I 494
- 28.8 deg, I 702

Atomic structure:
Unit cell a=6.943 b=7.055 c=7.238 alpha=111.46 beta=90.47 gamma=114.68
Space group P1 (No. 1)
Symmetry-distinct sites (fractional):
1 H 0.000 0.000 0.000 (multiplicity 1)
2 H 0.090 0.316 0.673 (multiplicity 1)
3 H 0.325 0.809 0.613 (multiplicity 1)
4 H 0.585 0.479 0.384 (multiplicity 1)
5 W 0.186 0.699 0.036 (multiplicity 1)
6 W 0.674 0.135 0.621 (multiplicity 1)
7 W 0.677 0.732 0.137 (multiplicity 1)
8 W 0.772 0.251 0.168 (multiplicity 1)
9 O 0.036 0.459 0.169 (multiplicity 1)
10 O 0.184 0.923 0.248 (multiplicity 1)
11 O 0.197 0.786 0.833 (multiplicity 1)
12 O 0.389 0.540 0.012 (multiplicity 1)
13 O 0.441 0.829 0.532 (multiplicity 1)
14 O 0.529 0.281 0.608 (multiplicity 1)
15 O 0.535 0.941 0.145 (multiplicity 1)
16 O 0.625 0.454 0.250 (multiplicity 1)
17 O 0.646 0.160 0.891 (multiplicity 1)
18 O 0.782 0.910 0.410 (multiplicity 1)
19 O 0.840 0.292 0.432 (multiplicity 1)
20 O 0.841 0.609 0.991 (multiplicity 1)
21 O 0.866 0.992 0.048 (multiplicity 1)
22 O 0.994 0.319 0.770 (multiplicity 1)



Diffraction record for H2W2O7. The powder XRD pattern is theoretical, not measured: it uses DFT lattice parameters and positions (GGA+U) and copper Kα.
Neutral-atom scattering factors, no anomalous dispersion.

The 6 most intense peaks (2θ from 10° to 90°), in order of rising 2θ:
- 14.7 deg, I 1000
- 28.3 deg, I 435
- 28.6 deg, I 205
- 29.7 deg, I 636
- 49.6 deg, I 190
- 58.6 deg, I 191

Atomic structure:
Unit cell a=7.394 b=7.394 c=10.340 alpha=90.00 beta=90.00 gamma=90.00
Space group I4_1/amd (No. 141, origin choice 2)
Symmetry-distinct sites (fractional):
1 H 0.000 0.250 0.283 (multiplicity 8)
2 W 0.000 0.000 0.000 (multiplicity 8)
3 O 0.000 0.250 0.061 (multiplicity 8)
4 O 0.000 0.250 0.375 (multiplicity 4)
5 O 0.181 0.069 0.875 (multiplicity 16)



Diffraction record for H2W2O7. The powder XRD pattern is theoretical, not measured: it uses DFT lattice parameters and positions (GGA+U) and copper Kα.
Neutral-atom scattering factors, no anomalous dispersion.

The 6 most intense peaks (2θ from 10° to 90°), in order of rising 2θ:
- 14.7 deg, I 1000
- 28.4 deg, I 639
- 29.7 deg, I 639
- 45.2 deg, I 213
- 49.5 deg, I 286
- 58.7 deg, I 283

Atomic structure:
Unit cell a=10.421 b=10.428 c=10.426 alpha=90.00 beta=90.00 gamma=90.00
Space group Fdd2 (No. 43)
Symmetry-distinct sites (fractional):
1 H 0.057 0.453 0.000 (multiplicity 16)
2 W 0.125 0.125 0.173 (multiplicity 16)
3 O 0.000 0.000 0.232 (multiplicity 8)
4 O 0.000 0.000 0.557 (multiplicity 8)
5 O 0.000 0.000 0.867 (multiplicity 8)
6 O 0.000 0.183 0.049 (multiplicity 16)
7 O 0.067 0.250 0.299 (multiplicity 16)



Diffraction record for HW4O12. The powder XRD pattern is theoretical, not measured: it uses DFT lattice parameters and positions (GGA+U) and copper Kα.
Neutral-atom scattering factors, no anomalous dispersion.

The 6 most intense peaks (2θ from 10° to 90°), in order of rising 2θ:
- 22.8 deg, I 488
- 23.1 deg, I 1000
- 32.6 deg, I 532
- 32.9 deg, I 281
- 53.1 deg, I 206
- 58.5 deg, I 214

Atomic structure:
Unit cell a=7.708 b=7.708 c=7.816 alpha=90.00 beta=90.00 gamma=90.00
Space group I-42m (No. 121)
Symmetry-distinct sites (fractional):
1 H 0.000 0.000 0.000 (multiplicity 2)
2 W 0.249 0.249 0.270 (multiplicity 8)
3 O 0.000 0.250 0.250 (multiplicity 16)
4 O 0.249 0.249 0.504 (multiplicity 8)



Diffraction record for KHfMnSbO6. The powder XRD pattern is theoretical, not measured: it uses DFT lattice parameters and positions (GGA+U) and copper Kα.
Neutral-atom scattering factors, no anomalous dispersion.

The 6 most intense peaks (2θ from 10° to 90°), in order of rising 2θ:
- 22.0 deg, I 506
- 31.3 deg, I 1000
- 44.9 deg, I 332
- 50.5 deg, I 221
- 55.7 deg, I 389
- 65.3 deg, I 197

Atomic structure:
Unit cell a=8.082 b=8.082 c=8.082 alpha=90.00 beta=90.00 gamma=90.00
Space group F-43m (No. 216)
Symmetry-distinct sites (fractional):
1 K 0.000 0.000 0.000 (multiplicity 4)
2 Hf 0.250 0.250 0.250 (multiplicity 4)
3 Mn 0.000 0.000 0.500 (multiplicity 4)
4 Sb 0.250 0.250 0.750 (multiplicity 4)
5 O 0.004 0.250 0.750 (multiplicity 24)